1.
This entry pairs a crystal structure of Hf2ZnCu3 with its simulated powder diffraction line list. Radiation: Cu Kα X-rays. Structure: a DFT-relaxed cell (GGA-PBE, Alexandria).
Intensities are scaled so that the largest is 100.

Crystal structure
```
data_Hf2ZnCu3
_space_group_name_H-M_alt 'F m m m'
_space_group_IT_number 69
_space_group_name_Hall '-F 2 2'
_cell_length_a 5.656
_cell_length_b 8.712
_cell_length_c 15.061
_cell_angle_alpha 90.00
_cell_angle_beta 90.00
_cell_angle_gamma 90.00
loop_
_atom_site_label
_atom_site_fract_x
_atom_site_fract_y
_atom_site_fract_z
Hf1 0.247 0.000 0.000
Hf2 0.250 0.250 0.250
Zn1 0.000 0.000 0.333
Cu1 0.000 0.000 0.166
Cu2 0.000 0.250 0.083
```

Principal peaks in the range 15 to 90 degrees two-theta, by intensity:
d (Å)  intensity  hkl
2.262  100  2 0 4
2.176  73  0 4 0
3.769  36  0 2 2
1.568  31  2 4 4
1.273  21  2 6 2
1.186  20  4 4 0
1.271  10  2 2 10
1.257  8  0 6 6

---

2.
This entry pairs a crystal structure of La2Ga4Ni3 with its simulated powder diffraction line list. Radiation: Cu Kα X-rays. Structure: a DFT-relaxed cell (GGA-PBE, Alexandria).
Intensities are scaled so that the largest is 100.

Crystal structure
```
data_La2Ga4Ni3
_space_group_name_H-M_alt 'F m m m'
_space_group_IT_number 69
_space_group_name_Hall '-F 2 2'
_cell_length_a 5.284
_cell_length_b 9.812
_cell_length_c 12.788
_cell_angle_alpha 90.00
_cell_angle_beta 90.00
_cell_angle_gamma 90.00
loop_
_atom_site_label
_atom_site_fract_x
_atom_site_fract_y
_atom_site_fract_z
La1 0.000 0.000 0.129
Ga1 0.000 0.177 0.347
Ni1 0.000 0.000 0.500
Ni2 0.250 0.250 0.000
```

Principal peaks in the range 15 to 90 degrees two-theta, by intensity:
d (Å)  intensity  hkl
2.329  100  1 3 3
2.718  37  1 3 1
2.037  30  2 0 4
1.457  29  3 3 3
2.642  26  2 0 0
3.197  16  0 0 4
2.241  15  1 1 5
1.391  15  2 6 0

---

3.
This entry pairs a crystal structure of Nd6Si2PbSe3 with its simulated powder diffraction line list. Radiation: Cu Kα X-rays. Structure: a DFT-relaxed cell (GGA-PBE, Alexandria).
Intensities are scaled so that the largest is 100.

Crystal structure
```
data_Nd6Si2PbSe3
_space_group_name_H-M_alt 'C 1 2/m 1'
_space_group_IT_number 12
_cell_length_a 18.862
_cell_length_b 4.290
_cell_length_c 8.715
_cell_angle_alpha 90.00
_cell_angle_beta 103.60
_cell_angle_gamma 90.00
loop_
_space_group_symop_operation_xyz
'x,y,z'
'-x,-y,-z'
'-x,y,-z'
'x,-y,z'
'x+1/2,y+1/2,z'
'-x+1/2,-y+1/2,-z'
'-x+1/2,y+1/2,-z'
'x+1/2,-y+1/2,z'
loop_
_atom_site_label
_atom_site_fract_x
_atom_site_fract_y
_atom_site_fract_z
Nd1 0.004 0.000 0.264
Nd2 0.170 0.500 0.577
Nd3 0.172 0.500 0.097
Si1 0.167 0.000 0.335
Pb1 0.000 0.500 0.000
Se1 0.000 0.500 0.500
Se2 0.165 0.000 0.832
```

Principal peaks in the range 15 to 90 degrees two-theta, by intensity:
d (Å)  intensity  hkl
3.057  100  1 1 -2
2.164  25  7 1 -2
2.158  24  5 1 2
1.755  13  6 2 0
2.179  13  2 0 -4
2.145  12  0 2 0
1.528  12  2 2 -4
1.368  11  8 2 -4

---

4.
This entry pairs a crystal structure of Tl3Sb2S4 with its simulated powder diffraction line list. Radiation: Cu Kα X-rays. Structure: a DFT-relaxed cell (GGA-PBE, Alexandria).
Intensities are scaled so that the largest is 100.

Crystal structure
```
data_Tl3Sb2S4
_space_group_name_H-M_alt 'C 1 2/c 1'
_space_group_IT_number 15
_cell_length_a 15.060
_cell_length_b 9.502
_cell_length_c 8.754
_cell_angle_alpha 90.00
_cell_angle_beta 96.48
_cell_angle_gamma 90.00
loop_
_space_group_symop_operation_xyz
'x,y,z'
'-x,-y,-z'
'-x,y,-z+1/2'
'x,-y,z+1/2'
'x+1/2,y+1/2,z'
'-x+1/2,-y+1/2,-z'
'-x+1/2,y+1/2,-z+1/2'
'x+1/2,-y+1/2,z+1/2'
loop_
_atom_site_label
_atom_site_fract_x
_atom_site_fract_y
_atom_site_fract_z
Tl1 0.000 0.040 0.250
Tl2 0.127 0.412 0.340
Sb1 0.180 0.144 0.031
S1 0.045 0.283 0.025
S2 0.219 0.125 0.305
```

Principal peaks in the range 15 to 90 degrees two-theta, by intensity:
d (Å)  intensity  hkl
2.859  100  4 2 -1
5.727  63  1 1 1
2.955  57  3 1 2
3.730  54  2 2 -1
3.959  40  2 0 -2
2.514  33  5 1 -2
2.675  32  3 3 0
2.941  31  1 3 -1

---

5.
This entry pairs a crystal structure of ErTm4Bi with its simulated powder diffraction line list. Radiation: Cu Kα X-rays. Structure: a DFT-relaxed cell (GGA-PBE, Alexandria).
Intensities are scaled so that the largest is 100.

Crystal structure
```
data_ErTm4Bi
_space_group_name_H-M_alt 'P 4/m m m'
_space_group_IT_number 123
_space_group_name_Hall '-P 4 2'
_cell_length_a 5.127
_cell_length_b 5.127
_cell_length_c 7.797
_cell_angle_alpha 90.00
_cell_angle_beta 90.00
_cell_angle_gamma 90.00
loop_
_atom_site_label
_atom_site_fract_x
_atom_site_fract_y
_atom_site_fract_z
Er1 0.000 0.000 0.000
Tm1 0.000 0.500 0.241
Bi1 0.500 0.500 0.500
```

Principal peaks in the range 15 to 90 degrees two-theta, by intensity:
d (Å)  intensity  hkl
2.655  100  1 1 2
2.564  46  2 0 0
4.284  43  1 0 1
1.497  35  3 1 2
1.552  19  2 0 4
1.813  17  2 2 0
2.200  15  2 1 1
1.327  12  2 2 4

---

6.
This entry pairs a crystal structure of Ca5BiO8 with its simulated powder diffraction line list. Radiation: Cu Kα X-rays. Structure: a DFT-relaxed cell (GGA-PBE, Alexandria).
Intensities are scaled so that the largest is 100.

Crystal structure
```
data_Ca5BiO8
_space_group_name_H-M_alt 'I -4'
_space_group_IT_number 82
_cell_length_a 7.110
_cell_length_b 7.110
_cell_length_c 7.219
_cell_angle_alpha 90.00
_cell_angle_beta 90.00
_cell_angle_gamma 90.00
loop_
_space_group_symop_operation_xyz
'x,y,z'
'y,-x,-z'
'-x,-y,z'
'-y,x,-z'
'x+1/2,y+1/2,z+1/2'
'y+1/2,-x+1/2,-z+1/2'
'-x+1/2,-y+1/2,z+1/2'
'-y+1/2,x+1/2,-z+1/2'
loop_
_atom_site_label
_atom_site_fract_x
_atom_site_fract_y
_atom_site_fract_z
Ca1 0.000 0.000 0.000
Ca2 0.124 0.255 0.626
Bi1 0.000 0.500 0.250
O1 0.058 0.201 0.304
O2 0.065 0.326 0.951
```

Principal peaks in the range 15 to 90 degrees two-theta, by intensity:
d (Å)  intensity  hkl
2.910  100  1 2 1
5.066  95  1 0 1
2.251  72  3 1 0
5.028  52  1 1 0
2.932  49  1 1 2
2.279  48  1 0 3
1.908  44  3 1 2
1.902  25  2 3 1

---

7.
This entry pairs a crystal structure of PrB4Rh8 with its simulated powder diffraction line list. Radiation: Cu Kα X-rays. Structure: a DFT-relaxed cell (GGA-PBE, Alexandria).
Intensities are scaled so that the largest is 100.

Crystal structure
```
data_PrB4Rh8
_space_group_name_H-M_alt 'F -4 3 m'
_space_group_IT_number 216
_space_group_name_Hall 'F -4 2 3'
_cell_length_a 9.381
_cell_length_b 9.381
_cell_length_c 9.381
_cell_angle_alpha 90.00
_cell_angle_beta 90.00
_cell_angle_gamma 90.00
loop_
_atom_site_label
_atom_site_fract_x
_atom_site_fract_y
_atom_site_fract_z
Pr1 0.000 0.000 0.000
B1 0.119 0.119 0.619
Rh1 0.108 0.108 0.392
Rh2 0.152 0.152 0.848
```

Principal peaks in the range 15 to 90 degrees two-theta, by intensity:
d (Å)  intensity  hkl
2.708  100  2 2 2
1.805  45  5 1 1
1.658  38  4 4 0
2.345  34  4 0 0
2.152  34  3 3 1
3.317  21  2 2 0
5.416  21  1 1 1
1.414  20  6 2 2